# Cs2Mn3ZnF12
Theoretical XRD peak list, Cu Ka. Input: DFT lattice parameters and positions (GGA+U).
Intensities are scaled so that the largest is 100.

Crystal structure
abc: 7.6622 7.6622 17.8862
angles: 90.00 90.00 120.00
Space group R-3m (No. 166, hexagonal axes)
Asymmetric unit:
Cs (0.0000, 0.0000, 0.1250) [6 per cell]
Mn (0.0000, 0.5000, 0.0000) [9 per cell]
Zn (0.0000, 0.0000, 0.5000) [3 per cell]
F (0.0737, 0.5369, 0.1047) [18 per cell]
F (0.0751, 0.5375, 0.3571) [18 per cell]

Peak list (10 most intense, 2θ = 10–80°, in order of rising 2θ)
d/Å  Position (°2θ)  intensity  h k l
3.831  23.22  39  1 1 0
3.708  24.00  28  1 0 4
3.262  27.34  43  0 2 1
3.223  27.68  100  1 1 3
3.149  28.34  47  0 1 5
3.111  28.70  26  2 0 2
2.074  43.65  35  3 0 3
1.916  47.46  38  2 2 0
1.854  49.14  33  2 0 8
1.407  66.44  15  1 4 3